# 1
This entry pairs a crystal structure of NaC2 with its calculated XRD peak list. Radiation: Cu Kα, 1.54184 Å. Structure: a structure optimized by DFT (GGA-PBE).
No peak broadening, texture or thermal motion is included.

Principal peaks in the range 10° ≤ 2θ ≤ 80°, low angle first:
2θ (°)  intensity  (hkl)
27.29  1  1 1 0
33.58  11  1 1 1
43.80  100  2 1 0
48.23  86  2 1 1
60.05  2  2 2 1
63.66  1  3 1 0
67.17  12  3 1 1
70.59  2  2 2 2
73.94  7  3 2 0
77.23  32  3 2 1

Crystal structure
Lattice parameters (Å, degrees): 4.622 4.622 4.622 90.00 90.00 90.00
Space group P4_332 (No. 212)
Symmetry-distinct sites (fractional):
Na  0.125  0.125  0.125 [4 per cell]
C  0.101  0.601  0.899 [8 per cell]



# 2
This entry pairs a crystal structure of NaC2 with its calculated XRD peak list. Radiation: Cu Kα, 1.54184 Å. Structure: a structure optimized by DFT (GGA-PBE).
No peak broadening, texture or thermal motion is included.

Principal peaks in the range 10° ≤ 2θ ≤ 80°, low angle first:
2θ (°)  intensity  (hkl)
28.33  100  1 1 0
34.41  38  0 0 2
36.81  8  0 2 0
43.94  17  2 0 0
45.15  46  1 1 2
46.61  19  1 2 1
51.24  9  0 2 2
56.96  13  2 0 2
59.49  9  0 3 1
76.83  8  2 3 1

Crystal structure
Lattice parameters (Å, degrees): 4.122 4.884 5.213 90.00 90.00 90.00
Space group Immm (No. 71)
Symmetry-distinct sites (fractional):
Na  0.000  0.000  0.000 [2 per cell]
C  0.000  0.129  0.500 [4 per cell]



# 3
This entry pairs a crystal structure of NaC with its calculated XRD peak list. Radiation: Cu Kα, 1.54184 Å. Structure: a structure optimized by DFT (GGA-PBE).
No peak broadening, texture or thermal motion is included.

Principal peaks in the range 10° ≤ 2θ ≤ 80°, low angle first:
2θ (°)  intensity  (hkl)
21.48  17  0 1 1
25.50  25  1 0 1
26.92  35  1 1 0
32.96  27  0 2 0
39.22  100  1 1 2
43.33  21  2 0 0
43.77  19  0 2 2
55.28  14  1 3 0
55.50  11  2 2 0
63.29  11  2 2 2

Crystal structure
Lattice parameters (Å, degrees): 4.176 5.434 6.377 90.00 90.00 90.00
Space group Immm (No. 71)
Symmetry-distinct sites (fractional):
Na  0.000  0.000  0.245 [4 per cell]
C  0.000  0.384  0.000 [4 per cell]